Diffraction record for Sc3PbO. The powder X-ray diffraction pattern is theoretical, not measured: it uses a GGA-PBE-relaxed structure and Cu Kα (weighted mean of Kα1 and Kα2).
Neutral-atom scattering factors, no anomalous dispersion.

Atomic structure:
Cell lengths 8.306, 8.306, 6.278 Å; angles 91.11, 91.11, 29.03 degrees
Sites, in units of the cell vectors:
Sc: 0.005 0.005 0.257
Sc: 0.205 0.205 0.775
Sc: 0.380 0.380 0.512
Sc: 0.620 0.620 0.488
Sc: 0.795 0.795 0.225
Sc: 0.995 0.995 0.743
Pb: 0.388 0.388 0.991
Pb: 0.612 0.612 0.009
O: 0.097 0.097 0.532
O: 0.903 0.903 0.468

Top 12 peaks for 15 to 90 degrees two-theta, in order of rising 2θ:
2θ/deg  d_spacing  I/Imax
22.09  4.024  100.0
26.22  3.399  78.3
26.57  3.355  35.0
27.12  3.288  39.8
28.44  3.138  27.1
35.27  2.545  89.9
35.95  2.498  39.9
36.19  2.482  66.2
36.37  2.470  41.6
36.68  2.450  50.6
37.94  2.372  27.5
43.47  2.082  35.1